# SrBe4Tc3O12
Theoretical powder X-ray diffraction pattern, Cu Ka. Input: a cell relaxed with GGA-PBE.
Intensities are scaled so that the largest is 100.

Structural model:
```
20
Lattice="5.0716 2.9281 2.5295 -5.0716 2.9281 2.5295 0.0000 -5.8562 2.5295" Properties=species:S:1:pos:R:3 pbc="T T T"
Sr 0.0000 0.0000 0.0000
Be -2.2164 -3.8389 3.7943
Be 0.0000 0.0000 3.7943
Be -2.2164 3.8389 3.7943
Be 4.4328 0.0000 3.7943
Tc -2.8300 -0.9544 2.5295
Tc -2.8300 0.9544 5.0591
Tc 0.5885 2.9281 2.5295
O -3.0120 -2.5378 3.5884
O -4.1496 0.0000 3.7943
O -0.6918 -3.8774 4.0002
O -1.5629 0.0000 3.7943
O -3.0120 2.5378 4.0002
O 2.0748 -3.5937 3.7943
O 0.7814 -1.3535 3.7943
O -0.6918 3.8774 3.5884
O 0.7814 1.3535 3.7943
O 3.7038 -1.3396 3.5884
O 2.0748 3.5937 3.7943
O 3.7038 1.3396 4.0002
```

Top 10 peaks for 10 to 90 degrees two-theta, in order of rising 2θ:
17.49 deg, I 45
23.40 deg, I 100
29.36 deg, I 26
31.15 deg, I 82
35.41 deg, I 23
44.18 deg, I 43
51.00 deg, I 19
52.55 deg, I 15
62.00 deg, I 13
66.49 deg, I 16



# SrBe2TeO6
Theoretical powder X-ray diffraction pattern, Cu Ka. Input: a cell relaxed with GGA-PBE.
Intensities are scaled so that the largest is 100.

Structural model:
```
20
Lattice="4.1574 -4.7606 0.0000 4.1574 4.7606 0.0000 -1.2962 0.0000 6.3006" Properties=species:S:1:pos:R:3 pbc="T T T"
Sr 3.1852 3.7810 4.7254
Sr 3.8333 -3.7810 1.5751
Be 1.5220 0.8828 5.0957
Be 2.1701 -0.8828 1.9454
Be 4.8484 0.8828 4.3552
Be 5.4965 -0.8828 1.2049
Te 3.8333 1.8780 1.5751
Te 3.1852 -1.8780 4.7254
O 2.6122 3.3887 1.9502
O 2.3340 1.8640 5.9559
O 2.3601 0.6202 1.6539
O 5.0544 3.3887 1.2001
O 4.0364 1.8640 3.4950
O 1.7119 -0.6202 4.8042
O 5.3065 0.6202 1.4964
O 2.9821 -1.8640 2.8056
O 1.9641 -3.3887 5.1005
O 4.6584 -0.6202 4.6467
O 4.6845 -1.8640 0.3447
O 4.4063 -3.3887 4.3504
```

Top 10 peaks for 10 to 90 degrees two-theta, in order of rising 2θ:
18.49 deg, I 53
21.83 deg, I 100
23.42 deg, I 79
28.33 deg, I 88
30.17 deg, I 90
32.49 deg, I 34
44.05 deg, I 38
48.07 deg, I 34
48.51 deg, I 36
49.14 deg, I 31